1.
Nd6Fe13Si: simulated X-ray powder pattern (Cu Kα (λ = 1.5418 Å)), based on the GGA-PBE geometry in Alexandria.
Peak positions follow from Bragg's law for the DFT cell and can differ from measured ones.

Structure:
```
data_Nd6Fe13Si
_cell_length_a 12.8015
_cell_length_b 12.8015
_cell_length_c 12.8015
_cell_angle_alpha 143.56
_cell_angle_beta 143.56
_cell_angle_gamma 52.49
_space_group_name_H-M_alt 'P 1'
_space_group_IT_number 1
_space_group_name_Hall 'P 1'
loop_
_atom_site_label
_atom_site_type_symbol
_atom_site_fract_x
_atom_site_fract_y
_atom_site_fract_z
_atom_site_occupancy
Nd1 Nd 0.0226 0.5226 0.1669 1
Nd2 Nd 0.1089 0.1089 0.0000 1
Nd3 Nd 0.1443 0.9774 0.5000 1
Nd4 Nd 0.3557 0.8557 0.8331 1
Nd5 Nd 0.3911 0.3911 0.0000 1
Nd6 Nd 0.4774 0.6443 0.5000 1
Nd7 Nd 0.5226 0.3557 0.5000 1
Nd8 Nd 0.6089 0.6089 0.0000 1
Nd9 Nd 0.6443 0.1443 0.1669 1
Nd10 Nd 0.8557 0.0226 0.5000 1
Nd11 Nd 0.8911 0.8911 0.0000 1
Nd12 Nd 0.9774 0.4774 0.8331 1
Fe1 Fe 0.0000 0.5000 0.5000 1
Fe2 Fe 0.0174 0.2912 0.5000 1
Fe3 Fe 0.0662 0.2088 0.2750 1
Fe4 Fe 0.1189 0.6189 0.8580 1
Fe5 Fe 0.2088 0.4826 0.5000 1
Fe6 Fe 0.2088 0.9338 0.1425 1
Fe7 Fe 0.2391 0.7391 0.8580 1
Fe8 Fe 0.2609 0.1189 0.5000 1
Fe9 Fe 0.2912 0.4338 0.7250 1
Fe10 Fe 0.2912 0.7912 0.2738 1
Fe11 Fe 0.3811 0.2391 0.5000 1
Fe12 Fe 0.4338 0.7088 0.1425 1
Fe13 Fe 0.4826 0.9826 0.2738 1
Fe14 Fe 0.5000 0.0000 0.5000 1
Fe15 Fe 0.5174 0.0174 0.7262 1
Fe16 Fe 0.5662 0.2912 0.8575 1
Fe17 Fe 0.6189 0.7609 0.5000 1
Fe18 Fe 0.7088 0.2088 0.7262 1
Fe19 Fe 0.7088 0.5662 0.2750 1
Fe20 Fe 0.7391 0.8811 0.5000 1
Fe21 Fe 0.7609 0.2609 0.1420 1
Fe22 Fe 0.7912 0.0662 0.8575 1
Fe23 Fe 0.7912 0.5174 0.5000 1
Fe24 Fe 0.8811 0.3811 0.1420 1
Fe25 Fe 0.9338 0.7912 0.7250 1
Fe26 Fe 0.9826 0.7088 0.5000 1
Si1 Si 0.2500 0.2500 0.0000 1
Si2 Si 0.7500 0.7500 0.0000 1
```

Top 8 peaks for 2θ from 10° to 90°, by intensity:
2θ = 31.7°, d = 2.825 Å, rel. 100; 2θ = 27.5°, d = 3.243 Å, rel. 68; 2θ = 35.5°, d = 2.532 Å, rel. 65; 2θ = 38.6°, d = 2.333 Å, rel. 56; 2θ = 38.9°, d = 2.316 Å, rel. 38; 2θ = 47.0°, d = 1.935 Å, rel. 38; 2θ = 43.6°, d = 2.078 Å, rel. 32; 2θ = 58.5°, d = 1.577 Å, rel. 28

---

2.
La2Al4Zn: simulated X-ray powder pattern (Cu Kα (λ = 1.5418 Å)), based on the GGA-PBE geometry in Alexandria.
Peak positions follow from Bragg's law for the DFT cell and can differ from measured ones.

Structure:
```
data_La2Al4Zn
_cell_length_a 8.6410
_cell_length_b 8.6410
_cell_length_c 8.6410
_cell_angle_alpha 148.23
_cell_angle_beta 148.23
_cell_angle_gamma 45.54
_space_group_name_H-M_alt 'P 1'
_space_group_IT_number 1
_space_group_name_Hall 'P 1'
loop_
_atom_site_label
_atom_site_type_symbol
_atom_site_fract_x
_atom_site_fract_y
_atom_site_fract_z
_atom_site_occupancy
La1 La 0.1462 0.1462 0.0000 1
La2 La 0.8538 0.8538 0.0000 1
Al1 Al 0.0000 0.5000 0.5000 1
Al2 Al 0.3442 0.3442 0.0000 1
Al3 Al 0.5000 0.0000 0.5000 1
Al4 Al 0.6558 0.6558 0.0000 1
Zn1 Zn 0.5000 0.5000 0.0000 1
```

Top 8 peaks for 2θ from 10° to 90°, by intensity:
2θ = 25.2°, d = 3.532 Å, rel. 100; 2θ = 26.7°, d = 3.344 Å, rel. 71; 2θ = 38.1°, d = 2.365 Å, rel. 47; 2θ = 46.2°, d = 1.965 Å, rel. 39; 2θ = 35.0°, d = 2.561 Å, rel. 38; 2θ = 51.8°, d = 1.766 Å, rel. 26; 2θ = 33.7°, d = 2.656 Å, rel. 22; 2θ = 43.5°, d = 2.080 Å, rel. 22

---

3.
Ce6CoTc2: simulated X-ray powder pattern (Cu Kα (λ = 1.5418 Å)), based on the GGA-PBE geometry in Alexandria.
Peak positions follow from Bragg's law for the DFT cell and can differ from measured ones.

Structure:
```
data_Ce6CoTc2
_cell_length_a 6.2822
_cell_length_b 7.0862
_cell_length_c 11.3442
_cell_angle_alpha 90.00
_cell_angle_beta 121.91
_cell_angle_gamma 90.00
_space_group_name_H-M_alt 'P 1'
_space_group_IT_number 1
_space_group_name_Hall 'P 1'
loop_
_atom_site_label
_atom_site_type_symbol
_atom_site_fract_x
_atom_site_fract_y
_atom_site_fract_z
_atom_site_occupancy
Ce1 Ce 0.0923 0.1855 0.4337 1
Ce2 Ce 0.0923 0.3145 0.9337 1
Ce3 Ce 0.2975 0.6550 0.4493 1
Ce4 Ce 0.2975 0.8450 0.9493 1
Ce5 Ce 0.3813 0.0572 0.2393 1
Ce6 Ce 0.3813 0.4428 0.7393 1
Ce7 Ce 0.6187 0.5572 0.2607 1
Ce8 Ce 0.6187 0.9428 0.7607 1
Ce9 Ce 0.7025 0.1550 0.0507 1
Ce10 Ce 0.7025 0.3450 0.5507 1
Ce11 Ce 0.9077 0.6855 0.0663 1
Ce12 Ce 0.9077 0.8145 0.5663 1
Co1 Co 0.5000 0.0000 0.5000 1
Co2 Co 0.5000 0.5000 0.0000 1
Tc1 Tc 0.1822 0.1316 0.7290 1
Tc2 Tc 0.1822 0.3684 0.2290 1
Tc3 Tc 0.8178 0.6315 0.7710 1
Tc4 Tc 0.8178 0.8684 0.2710 1
```

Top 8 peaks for 2θ from 10° to 90°, by intensity:
2θ = 31.7°, d = 2.824 Å, rel. 100; 2θ = 32.3°, d = 2.772 Å, rel. 79; 2θ = 31.2°, d = 2.871 Å, rel. 73; 2θ = 34.3°, d = 2.615 Å, rel. 73; 2θ = 33.5°, d = 2.679 Å, rel. 63; 2θ = 40.8°, d = 2.211 Å, rel. 58; 2θ = 34.8°, d = 2.581 Å, rel. 49; 2θ = 30.3°, d = 2.951 Å, rel. 46

---

4.
Ce3Ni7Ge4: simulated X-ray powder pattern (Cu Kα (λ = 1.5418 Å)), based on the GGA-PBE geometry in Alexandria.
Peak positions follow from Bragg's law for the DFT cell and can differ from measured ones.

Structure:
```
data_Ce3Ni7Ge4
_cell_length_a 7.6672
_cell_length_b 7.6672
_cell_length_c 9.0562
_cell_angle_alpha 123.96
_cell_angle_beta 123.96
_cell_angle_gamma 30.86
_space_group_name_H-M_alt 'P 1'
_space_group_IT_number 1
_space_group_name_Hall 'P 1'
loop_
_atom_site_label
_atom_site_type_symbol
_atom_site_fract_x
_atom_site_fract_y
_atom_site_fract_z
_atom_site_occupancy
Ce1 Ce 0.0000 0.0000 0.0000 1
Ce2 Ce 0.3173 0.3173 0.3140 1
Ce3 Ce 0.6827 0.6827 0.6860 1
Ni1 Ni 0.0000 0.0000 0.5000 1
Ni2 Ni 0.1233 0.1233 0.8493 1
Ni3 Ni 0.3233 0.3233 0.6996 1
Ni4 Ni 0.4970 0.4970 0.7097 1
Ni5 Ni 0.5030 0.5030 0.2903 1
Ni6 Ni 0.6767 0.6767 0.3004 1
Ni7 Ni 0.8767 0.8767 0.1507 1
Ge1 Ge 0.1245 0.1245 0.4003 1
Ge2 Ge 0.3299 0.3299 0.9771 1
Ge3 Ge 0.6701 0.6701 0.0229 1
Ge4 Ge 0.8755 0.8755 0.5997 1
```

Top 8 peaks for 2θ from 10° to 90°, by intensity:
2θ = 37.7°, d = 2.388 Å, rel. 100; 2θ = 36.7°, d = 2.451 Å, rel. 99; 2θ = 44.4°, d = 2.040 Å, rel. 77; 2θ = 37.1°, d = 2.425 Å, rel. 73; 2θ = 31.3°, d = 2.862 Å, rel. 53; 2θ = 36.5°, d = 2.461 Å, rel. 44; 2θ = 43.6°, d = 2.075 Å, rel. 36; 2θ = 45.2°, d = 2.008 Å, rel. 36